# 1
Diffraction record for La3TlNi. The powder X-ray diffraction pattern is computed, not measured: it uses a DFT-relaxed cell (PBE, Alexandria) and Cu Kα X-rays.
Lines closer than 0.1° are merged.

Cell and atoms:
abc: 5.4376 5.4376 5.4376
angles: 90.00 90.00 90.00
Positions (direct):
La 0.0000 0.0000 0.5000
La 0.0000 0.5000 0.0000
La 0.5000 0.0000 0.0000
Tl 0.5000 0.5000 0.5000
Ni 0.0000 0.0000 0.0000

Main lines, low angle first (2θ from 5° to 70°):
d_spacing	two_theta	I/Imax
3.845	23.13	13.7
3.139	28.43	100.0
2.719	32.94	78.8
1.922	47.28	57.4
1.640	56.10	45.6
1.570	58.83	19.9

***

# 2
Diffraction record for La6Tl2Ni. The powder X-ray diffraction pattern is computed, not measured: it uses a DFT-relaxed cell (PBE, Alexandria) and Cu Kα X-rays.
Lines closer than 0.1° are merged.

Cell and atoms:
abc: 9.6622 10.5892 5.6455
angles: 90.00 90.00 90.00
Positions (direct):
La 0.0094 0.2080 0.0000
La 0.1381 0.4294 0.5000
La 0.2380 0.0638 0.5000
La 0.2620 0.5638 0.0000
La 0.3619 0.9294 0.0000
La 0.4906 0.7080 0.5000
La 0.5094 0.2920 0.5000
La 0.6381 0.0706 0.0000
La 0.7380 0.4362 0.0000
La 0.7620 0.9362 0.5000
La 0.8619 0.5706 0.5000
La 0.9906 0.7920 0.0000
Tl 0.1595 0.7569 0.5000
Tl 0.3405 0.2569 0.0000
Tl 0.6595 0.7431 0.0000
Tl 0.8405 0.2431 0.5000
Ni 0.0000 0.5000 0.0000
Ni 0.5000 0.0000 0.5000

Main lines, low angle first (2θ from 5° to 70°):
d_spacing	two_theta	I/Imax
2.857	31.31	100.0
2.823	31.70	47.3
2.798	31.99	58.9
2.006	45.21	17.5
1.637	56.21	14.6
1.625	56.66	14.1

***

Question: What is the formula in the second record?
Answer: La6Tl2Ni